1.
Simulated X-ray powder pattern of Y3TlCd2 for Cu Kα (λ = 1.5418 Å), from a DFT-relaxed cell (GGA-PBE, Alexandria).

Most intense lines, 10° ≤ 2θ ≤ 90°, by angle:
- 2θ 19.27, I 3
- 2θ 23.63, I 8
- 2θ 33.66, I 100
- 2θ 48.34, I 18
- 2θ 60.04, I 9
- 2θ 60.24, I 27
- 2θ 70.65, I 6
- 2θ 70.88, I 6
- 2θ 80.60, I 8
- 2θ 80.77, I 8

Structural model:
```
data_Y3TlCd2
_space_group_name_H-M_alt 'P -3 m 1'
_space_group_IT_number 164
_space_group_name_Hall '-P 3 2"'
_cell_length_a 5.3184
_cell_length_b 5.3184
_cell_length_c 6.5409
_cell_angle_alpha 90.00
_cell_angle_beta 90.00
_cell_angle_gamma 120.00
loop_
_atom_site_label
_atom_site_type_symbol
_atom_site_fract_x
_atom_site_fract_y
_atom_site_fract_z
Y1 Y 0.0000 0.0000 0.0000
Y2 Y 0.3333 0.6667 0.6656
Tl1 Tl 0.0000 0.0000 0.5000
Cd1 Cd 0.3333 0.6667 0.1514
```

2.
Simulated X-ray powder pattern of YTlCd for Cu Kα (λ = 1.5418 Å), from a DFT-relaxed cell (GGA-PBE, Alexandria).

Most intense lines, 10° ≤ 2θ ≤ 90°, by angle:
- 2θ 20.69, I 21
- 2θ 24.48, I 34
- 2θ 32.16, I 51
- 2θ 32.26, I 100
- 2θ 36.06, I 96
- 2θ 36.33, I 47
- 2θ 44.07, I 29
- 2θ 49.30, I 31
- 2θ 62.54, I 19
- 2θ 63.34, I 26

Structural model:
```
data_YTlCd
_space_group_name_H-M_alt 'C 1 m 1'
_space_group_IT_number 8
_space_group_name_Hall 'C -2y'
_cell_length_a 11.298
_cell_length_b 4.945
_cell_length_c 7.272
_cell_angle_alpha 90.00
_cell_angle_beta 130.04
_cell_angle_gamma 90.00
loop_
_atom_site_label
_atom_site_type_symbol
_atom_site_fract_x
_atom_site_fract_y
_atom_site_fract_z
Y1 Y 0.000 0.000 0.000
Y2 Y 0.008 0.000 0.508
Tl1 Tl 0.170 0.500 0.906
Tl2 Tl 0.171 0.500 0.439
Cd1 Cd 0.335 0.000 0.547
Cd2 Cd 0.336 0.000 0.121
```

> Number 2 is which compound?

YTlCd